# 1
Starting from a DFT-relaxed cell (GGA-PBE, the Materials Project), the X-ray diffraction stick pattern of Li19Mn5N9 was calculated for CuKα.
Neutral-atom scattering factors, no anomalous dispersion.

Structural model:
abc: 13.459 6.398 11.385
angles: 90.00 124.38 90.00
Space group C2 (No. 5)
Asymmetric unit:
Li  0.000  0.000  0.000 x2
Li  0.002  0.017  0.328 x4
Li  0.004  0.649  0.834 x4
Li  0.129  0.418  0.082 x4
Li  0.130  0.409  0.753 x4
Li  0.133  0.411  0.425 x4
Li  0.163  0.784  0.773 x4
Li  0.165  0.771  0.109 x4
Li  0.166  0.780  0.447 x4
Li  0.183  0.097  0.622 x4
Mn  0.000  0.640  0.500 x2
Mn  0.186  0.096  0.959 x4
Mn  0.188  0.095  0.290 x4
N  0.000  0.646  0.000 x2
N  0.001  0.643  0.340 x4
N  0.180  0.098  0.795 x4
N  0.183  0.096  0.123 x4
N  0.183  0.097  0.445 x4

Largest 6 diffraction maxima, in order of rising 2θ, 2θ from 10° to 90°:
2θ/deg  I/Imax  (hkl)
16.11  38.8  1 1 -1
21.06  21.0  1 1 -2
27.86  100.0  0 2 0
36.72  27.0  2 2 -3
49.28  23.0  3 3 0
56.36  19.5  4 2 -6

# 2
Starting from a DFT-relaxed cell (GGA-PBE, the Materials Project), the X-ray diffraction stick pattern of SrLi3MnN3 was calculated for CuKα.
Neutral-atom scattering factors, no anomalous dispersion.

Structural model:
abc: 5.8692 5.8692 19.1542
angles: 90.00 90.00 120.00
Space group R-3 (No. 148, hexagonal axes)
Asymmetric unit:
Sr  0.0000  0.0000  0.1624 x6
Li  0.0260  0.6333  0.3693 x18
Mn  0.0000  0.0000  0.4330 x6
N  0.0051  0.7099  0.5898 x18

Largest 6 diffraction maxima, in order of rising 2θ, 2θ from 10° to 90°:
2θ/deg  I/Imax  (hkl)
13.87  78.5  0 0 3
25.56  28.4  1 0 4
30.46  67.8  1 1 0
33.61  100.0  1 1 3
37.32  39.7  1 0 7
54.13  30.5  3 0 0

# 3
Starting from a DFT-relaxed cell (GGA-PBE, the Materials Project), the X-ray diffraction stick pattern of NaLiMnS2 was calculated for CuKα.
Neutral-atom scattering factors, no anomalous dispersion.

Structural model:
abc: 3.7728 3.7728 6.7007
angles: 90.00 90.00 120.00
Space group P3m1 (No. 156)
Asymmetric unit:
Na  0.0000  0.0000  0.0000 x1
Li  0.3333  0.6667  0.6552 x1
Mn  0.6667  0.3333  0.3888 x1
S  0.3333  0.6667  0.3028 x1
S  0.6667  0.3333  0.7338 x1

Largest 6 diffraction maxima, in order of rising 2θ, 2θ from 10° to 90°:
2θ/deg  I/Imax  (hkl)
13.21  65.4  0 0 1
27.29  53.5  1 0 0
30.44  100.0  0 1 1
38.49  49.9  0 1 2
48.24  64.5  1 1 0
49.43  43.5  0 1 3

# 4
Starting from a DFT-relaxed cell (GGA-PBE, the Materials Project), the X-ray diffraction stick pattern of LiMnP2 was calculated for CuKα.
Neutral-atom scattering factors, no anomalous dispersion.

Structural model:
abc: 2.609 2.609 9.286
angles: 90.00 90.00 90.00
Space group P4/mmm (No. 123)
Asymmetric unit:
Li  0.000  0.000  0.000 x1
Mn  0.000  0.000  0.500 x1
P  0.000  0.000  0.254 x2

Largest 6 diffraction maxima, in order of rising 2θ, 2θ from 10° to 90°:
2θ/deg  I/Imax  (hkl)
34.37  100.0  1 0 0
35.75  32.9  1 0 1
38.79  34.7  0 0 4
49.40  32.9  1 1 0
52.78  53.0  1 0 4
64.52  28.0  1 1 4